# Y2Er3Tl3
Theoretical powder X-ray diffraction pattern, Cu Kα. Input: a structure optimized by DFT (PBE).
Lines closer than 0.1° are merged.

Lattice parameters (Å, degrees): 4.956 4.966 9.046 90.00 90.00 90.00
Space group Pmmm (No. 47)
Asymmetric unit:
Y  0.000  0.000  0.237 (multiplicity 2)
Er  0.000  0.500  0.500 (multiplicity 1)
Er  0.500  0.500  0.237 (multiplicity 2)
Tl  0.000  0.500  0.000 (multiplicity 1)
Tl  0.500  0.000  0.000 (multiplicity 1)
Tl  0.500  0.000  0.500 (multiplicity 1)

Main lines, by angle (10° ≤ 2θ ≤ 90°):
d (Å), I/Imax, (hkl)
3.508, 3, 1 1 0
2.772, 100, 1 1 2
2.481, 37, 2 0 0
2.261, 14, 0 0 4
1.754, 13, 2 2 0
1.671, 22, 2 0 4
1.483, 15, 1 3 2
1.481, 15, 3 1 2
1.386, 23, 2 2 4
1.132, 6, 3 3 2

---

# La2Nd2Sn
Theoretical powder X-ray diffraction pattern, Cu Kα. Input: a structure optimized by DFT (PBE).
Lines closer than 0.1° are merged.

Lattice parameters (Å, degrees): 5.6165 5.6165 6.7259 90.00 90.00 120.00
Space group P-6m2 (No. 187)
Asymmetric unit:
La  0.0000  0.0000  0.0000 (multiplicity 1)
La  0.3333  0.6667  0.5000 (multiplicity 1)
Nd  0.6667  0.3333  0.2671 (multiplicity 2)
Sn  0.0000  0.0000  0.5000 (multiplicity 1)

Main lines, by angle (10° ≤ 2θ ≤ 90°):
d (Å), I/Imax, (hkl)
6.726, 13, 0 0 1
4.864, 16, 1 0 0
3.941, 19, 1 0 1
2.808, 100, 1 1 0
2.766, 99, 1 0 2
1.971, 37, 2 0 2
1.621, 19, 3 0 0
1.613, 39, 2 1 2
1.443, 24, 1 1 4
1.252, 17, 3 1 2

---

# Ac2Si2MoN6
Theoretical powder X-ray diffraction pattern, Cu Kα. Input: a structure optimized by DFT (PBE).
Lines closer than 0.1° are merged.

Lattice parameters (Å, degrees): 5.6740 5.6740 17.3777 90.00 90.00 120.00
Space group R-3m (No. 166, hexagonal axes)
Asymmetric unit:
Ac  0.0000  0.0000  0.2420 (multiplicity 6)
Si  0.0000  0.0000  0.0654 (multiplicity 6)
Mo  0.0000  0.0000  0.5000 (multiplicity 3)
N  0.0057  0.5028  0.7668 (multiplicity 18)

Main lines, by angle (10° ≤ 2θ ≤ 90°):
d (Å), I/Imax, (hkl)
4.277, 55, 0 1 2
3.255, 100, 1 0 4
2.837, 92, 1 1 0
2.364, 25, 2 0 2
2.139, 45, 0 2 4
2.027, 27, 1 1 6
1.987, 19, 0 1 8
1.708, 33, 2 1 4
1.638, 24, 3 0 0
1.419, 19, 2 2 0

---

# Ta3NbH
Theoretical powder X-ray diffraction pattern, Cu Kα. Input: a structure optimized by DFT (PBE).
Lines closer than 0.1° are merged.

Lattice parameters (Å, degrees): 5.564 5.573 5.807 100.07 99.94 116.82
Space group P-1 (No. 2)
Asymmetric unit:
Ta  0.236  0.247  0.493 (multiplicity 2)
Ta  0.241  0.235  0.999 (multiplicity 2)
Ta  0.241  0.756  0.252 (multiplicity 2)
Nb  0.247  0.748  0.748 (multiplicity 2)
H  0.496  0.620  0.189 (multiplicity 2)

Main lines, by angle (10° ≤ 2θ ≤ 90°):
d (Å), I/Imax, (hkl)
2.380, 50, 0 2 0
2.373, 100, 1 1 -2
1.681, 17, 1 1 2
1.676, 9, -3 1 2
1.375, 9, 1 3 -2
1.372, 17, -1 3 2
1.370, 22, 0 0 4
1.368, 4, 2 0 -4
1.187, 6, 2 2 -4
1.186, 5, -2 2 4

---

# CsLiTbSe2
Theoretical powder X-ray diffraction pattern, Cu Kα. Input: a structure optimized by DFT (PBE).
Lines closer than 0.1° are merged.

Lattice parameters (Å, degrees): 7.310 15.430 6.424 90.00 90.00 90.00
Space group Cmme (No. 67)
Asymmetric unit:
Cs  0.000  0.250  0.225 (multiplicity 4)
Li  0.000  0.000  0.000 (multiplicity 4)
Tb  0.250  0.000  0.500 (multiplicity 4)
Se  0.000  0.105  0.714 (multiplicity 8)

Main lines, by angle (10° ≤ 2θ ≤ 90°):
d (Å), I/Imax, (hkl)
6.424, 39, 0 0 1
4.937, 50, 0 2 1
3.519, 100, 1 3 1
3.304, 39, 2 2 0
2.965, 27, 0 2 2
2.452, 24, 2 4 1
2.413, 43, 2 0 2
2.103, 25, 2 6 0
2.083, 23, 3 3 1
2.008, 21, 0 6 2

---

# Sr2AlSbAu6
Theoretical powder X-ray diffraction pattern, Cu Kα. Input: a structure optimized by DFT (PBE).
Lines closer than 0.1° are merged.

Lattice parameters (Å, degrees): 5.948 8.831 9.449 90.00 90.00 90.00
Space group Pmmn (No. 59, origin choice 2)
Asymmetric unit:
Sr  0.250  0.004  0.237 (multiplicity 4)
Al  0.250  0.250  0.746 (multiplicity 2)
Sb  0.250  0.750  0.793 (multiplicity 2)
Au  0.006  0.250  0.965 (multiplicity 4)
Au  0.010  0.750  0.474 (multiplicity 4)
Au  0.250  0.508  0.607 (multiplicity 4)

Main lines, by angle (10° ≤ 2θ ≤ 90°):
d (Å), I/Imax, (hkl)
4.724, 44, 0 0 2
3.226, 66, 0 2 2
2.836, 54, 1 2 2
2.517, 64, 2 0 2
2.467, 100, 2 2 0
2.355, 49, 1 2 3
2.208, 56, 0 4 0
2.187, 58, 2 2 2
2.083, 30, 0 2 4
1.660, 37, 2 4 2